Entry 1:
This entry pairs a crystal structure of PaZnNi2H8 with its simulated powder diffraction line list. Radiation: Cu Ka. Structure: a structure optimized by DFT (PBE).
Kinematic intensities with the Lorentz-polarization factor, no thermal factor.

Crystal structure
Cell: 4.5797 4.5797 6.3597 Å, 90.00 90.00 120.00°
Space group P-3m1 (No. 164)
Asymmetric unit:
Pa1 0.0000 0.0000 0.0000 x1
Zn1 0.0000 0.0000 0.5000 x1
Ni1 0.3333 0.6667 0.1735 x2
H1 0.1568 0.3136 0.2983 x6
H2 0.3333 0.6667 0.9291 x2

The 6 most intense peaks (15° ≤ 2θ ≤ 90°), low angle first:
hkl	2θ (°)	I (rel.)
1 0 0	22.42	76
0 1 1	26.49	47
0 1 2	36.21	100
1 1 0	39.35	61
2 0 2	54.54	32
1 2 2	69.30	30

Entry 2:
This entry pairs a crystal structure of TbPr6Sc3 with its simulated powder diffraction line list. Radiation: Cu Ka. Structure: a structure optimized by DFT (PBE).
Kinematic intensities with the Lorentz-polarization factor, no thermal factor.

Crystal structure
Cell: 9.8302 9.8302 11.7323 Å, 90.00 90.00 120.00°
Space group R32 (No. 155, hexagonal axes)
Asymmetric unit:
Tb1 0.0000 0.0000 0.0000 x3
Pr1 0.0000 0.3372 0.0000 x9
Pr2 0.0001 0.6667 0.1667 x9
Sc1 0.0000 0.0000 0.2578 x6
Sc2 0.0000 0.0000 0.5000 x3

The 6 most intense peaks (15° ≤ 2θ ≤ 90°), low angle first:
hkl	2θ (°)	I (rel.)
1 1 3	29.18	100
3 0 0	31.53	96
2 2 3	43.49	34
4 1 3	54.70	34
3 3 0	56.14	18
3 0 6	57.21	25

Entry 3:
This entry pairs a crystal structure of Cs2PbAu2Cl6 with its simulated powder diffraction line list. Radiation: Cu Ka. Structure: a structure optimized by DFT (PBE).
Kinematic intensities with the Lorentz-polarization factor, no thermal factor.

Crystal structure
Cell: 14.302 7.739 8.195 Å, 90.00 122.63 90.00°
Space group C2/m (No. 12)
Asymmetric unit:
Cs1 0.234 0.000 0.212 x4
Pb1 0.000 0.000 0.500 x2
Au1 0.066 0.500 0.215 x4
Cl1 0.054 0.252 0.799 x8
Cl2 0.238 0.000 0.660 x4

The 6 most intense peaks (15° ≤ 2θ ≤ 90°), low angle first:
hkl	2θ (°)	I (rel.)
3 1 -1	21.92	100
0 2 0	22.98	45
1 1 -2	25.45	45
6 0 -2	37.81	24
3 3 -1	39.74	23
6 2 -2	44.69	22

Entry 4:
This entry pairs a crystal structure of Li2TlBi with its simulated powder diffraction line list. Radiation: Cu Ka. Structure: a structure optimized by DFT (PBE).
Kinematic intensities with the Lorentz-polarization factor, no thermal factor.

Crystal structure
Cell: 7.169 7.169 7.169 Å, 90.00 90.00 90.00°
Space group Fm-3m (No. 225)
Asymmetric unit:
Li1 0.250 0.250 0.250 x8
Tl1 0.000 0.000 0.000 x4
Bi1 0.000 0.000 0.500 x4

The 6 most intense peaks (15° ≤ 2θ ≤ 90°), low angle first:
hkl	2θ (°)	I (rel.)
2 0 0	24.84	100
2 2 0	35.41	90
2 2 2	43.74	31
4 2 0	57.49	42
4 2 2	63.58	34
6 0 0	80.36	21

Entry 5:
This entry pairs a crystal structure of Li3ZrIn4 with its simulated powder diffraction line list. Radiation: Cu Ka. Structure: a structure optimized by DFT (PBE).
Kinematic intensities with the Lorentz-polarization factor, no thermal factor.

Crystal structure
Cell: 3.337 4.985 9.920 Å, 90.00 90.00 90.00°
Space group Pmmm (No. 47)
Asymmetric unit:
Li1 0.000 0.000 0.000 x1
Li2 0.000 0.500 0.246 x2
Zr1 0.000 0.000 0.500 x1
In1 0.500 0.000 0.240 x2
In2 0.500 0.500 0.000 x1
In3 0.500 0.500 0.500 x1

The 6 most intense peaks (15° ≤ 2θ ≤ 90°), low angle first:
hkl	2θ (°)	I (rel.)
0 1 2	25.33	52
1 0 0	26.71	23
0 2 0	36.03	27
0 0 4	36.22	26
1 1 2	37.14	100
0 2 4	52.01	18

Entry 6:
This entry pairs a crystal structure of Ta3Nb3N with its simulated powder diffraction line list. Radiation: Cu Ka. Structure: a structure optimized by DFT (PBE).
Kinematic intensities with the Lorentz-polarization factor, no thermal factor.

Crystal structure
Cell: 12.231 12.231 12.231 Å, 90.00 90.00 90.00°
Space group Fd-3m (No. 227, origin choice 2)
Asymmetric unit:
Ta1 0.058 0.375 0.375 x48
Nb1 0.000 0.000 0.500 x16
Nb2 0.038 0.038 0.712 x32
N1 0.000 0.000 0.000 x16

The 6 most intense peaks (15° ≤ 2θ ≤ 90°), low angle first:
hkl	2θ (°)	I (rel.)
3 3 1	31.89	21
4 2 2	35.97	48
3 3 3	38.24	100
4 4 0	41.78	19
6 6 0	64.66	44
9 3 3	77.68	20

Entry 7:
This entry pairs a crystal structure of RbNaPb11 with its simulated powder diffraction line list. Radiation: Cu Ka. Structure: a structure optimized by DFT (PBE).
Kinematic intensities with the Lorentz-polarization factor, no thermal factor.

Crystal structure
Cell: 6.493 15.904 9.001 Å, 90.00 110.25 90.00°
Space group C2/m (No. 12)
Asymmetric unit:
Rb1 0.000 0.000 0.000 x2
Na1 0.000 0.500 0.500 x2
Pb1 0.000 0.000 0.500 x2
Pb2 0.111 0.389 0.227 x8
Pb3 0.174 0.180 0.354 x8
Pb4 0.250 0.250 0.000 x4

The 6 most intense peaks (15° ≤ 2θ ≤ 90°), low angle first:
hkl	2θ (°)	I (rel.)
1 1 2	30.16	42
0 4 2	30.89	73
1 5 0	31.76	100
2 0 1	34.57	58
2 0 -3	35.13	58
2 4 -1	35.71	49

Entry 8:
This entry pairs a crystal structure of Ac2Y2Te2Se3 with its simulated powder diffraction line list. Radiation: Cu Ka. Structure: a structure optimized by DFT (PBE).
Kinematic intensities with the Lorentz-polarization factor, no thermal factor.

Crystal structure
Cell: 5.364 5.364 20.242 Å, 90.00 90.00 90.00°
Space group I4/mmm (No. 139)
Asymmetric unit:
Ac1 0.000 0.000 0.177 x4
Y1 0.000 0.500 0.000 x4
Te1 0.000 0.000 0.404 x4
Se1 0.000 0.000 0.000 x2
Se2 0.000 0.500 0.250 x4

The 6 most intense peaks (15° ≤ 2θ ≤ 90°), low angle first:
hkl	2θ (°)	I (rel.)
1 0 3	21.16	37
1 0 5	27.60	100
1 1 4	29.43	63
2 0 0	33.41	87
2 1 5	43.87	58
2 2 0	47.97	32